Record 1
Diffraction record for Ac5PtRh2. The powder XRD pattern is simulated, not measured: it uses a cell relaxed with GGA-PBE and Cu Kα (λ = 1.5418 Å).
Peak positions follow from Bragg's law for the DFT cell and can differ from measured ones.

Main lines, by angle (5° ≤ 2θ ≤ 70°):
| index | two_theta | intensity |
| --- | --- | --- |
| 1 1 0 | 16.17 | 50 |
| 1 1 3 | 24.31 | 35 |
| 0 2 4 | 27.43 | 81 |
| 0 4 2 | 28.68 | 42 |
| 2 0 0 | 29.89 | 100 |
| 0 4 3 | 31.79 | 57 |
| 2 2 4 | 41.03 | 43 |
| 2 4 3 | 44.19 | 46 |

Unit cell a=5.979 b=13.734 c=14.753 alpha=90.00 beta=90.00 gamma=90.00
Space group Cmcm (No. 63)
Asymmetric unit:
Ac 0.000 0.053 0.118
Ac 0.000 0.243 0.750
Ac 0.000 0.335 0.063
Pt 0.000 0.223 0.250
Rh 0.000 0.149 0.557

Record 2
Diffraction record for Pr3Tc2C4. The powder XRD pattern is simulated, not measured: it uses a cell relaxed with GGA-PBE and Cu Kα (λ = 1.5418 Å).
Peak positions follow from Bragg's law for the DFT cell and can differ from measured ones.

Main lines, by angle (5° ≤ 2θ ≤ 70°):
| index | two_theta | intensity |
| --- | --- | --- |
| 2 0 2 | 29.42 | 100 |
| 1 1 1 | 29.77 | 23 |
| 4 0 -1 | 32.26 | 60 |
| 3 1 0 | 34.66 | 59 |
| 1 1 -2 | 36.27 | 30 |
| 1 1 2 | 36.85 | 24 |
| 2 0 -3 | 39.16 | 37 |
| 4 2 -1 | 63.45 | 24 |

Unit cell a=11.748 b=3.453 c=7.342 alpha=90.00 beta=93.11 gamma=90.00
Space group C2/m (No. 12)
Asymmetric unit:
Pr 0.000 0.000 0.000
Pr 0.125 0.500 0.429
Tc 0.218 0.500 0.841
C 0.159 0.500 0.087
C 0.168 0.000 0.696

Record 3
Diffraction record for LiCa2Cu6Ni. The powder XRD pattern is simulated, not measured: it uses a cell relaxed with GGA-PBE and Cu Kα (λ = 1.5418 Å).
Peak positions follow from Bragg's law for the DFT cell and can differ from measured ones.

Main lines, by angle (5° ≤ 2θ ≤ 70°):
| index | two_theta | intensity |
| --- | --- | --- |
| 0 0 1 | 14.58 | 100 |
| 2 0 0 | 20.70 | 48 |
| 1 1 1 | 29.52 | 41 |
| 4 0 0 | 42.11 | 48 |
| 2 2 0 | 42.62 | 40 |
| 2 2 -2 | 42.83 | 83 |
| 4 0 -4 | 42.99 | 51 |
| 0 2 2 | 47.80 | 35 |

Unit cell a=11.890 b=4.882 c=8.417 alpha=90.00 beta=133.81 gamma=90.00
Space group C2/m (No. 12)
Asymmetric unit:
Li 0.000 0.000 0.000
Ca 0.038 0.500 0.773
Cu 0.172 0.000 0.423
Cu 0.245 0.250 0.734
Ni 0.000 0.000 0.500

Record 4
Diffraction record for HoErZn4. The powder XRD pattern is simulated, not measured: it uses a cell relaxed with GGA-PBE and Cu Kα (λ = 1.5418 Å).
Peak positions follow from Bragg's law for the DFT cell and can differ from measured ones.

Main lines, by angle (5° ≤ 2θ ≤ 70°):
| index | two_theta | intensity |
| --- | --- | --- |
| 0 0 2 | 22.99 | 22 |
| 1 2 1 | 34.86 | 100 |
| 2 0 0 | 40.26 | 19 |
| 1 0 3 | 40.43 | 38 |
| 2 2 2 | 54.32 | 19 |
| 0 2 4 | 54.50 | 9 |
| 1 4 3 | 68.84 | 15 |
| 3 2 1 | 69.70 | 9 |

Unit cell a=4.480 b=6.894 c=7.718 alpha=90.00 beta=90.00 gamma=90.00
Space group Immm (No. 71)
Asymmetric unit:
Ho 0.000 0.000 0.000
Er 0.000 0.500 0.000
Zn 0.000 0.250 0.333